Li3Fe4SbO8: computed powder diffractogram (Cu Ka), based on a crystal structure in the Materials Project, relaxed with PBE+U.
Intensities are scaled so that the largest is 100.

Cell and atoms:
Cell lengths 10.4006, 6.2980, 6.2825 Å; angles 90.00, 125.91, 90.00 degrees
Space group C2/m (No. 12)
Asymmetric unit:
Li 0.0000 0.0000 0.0000 [2 per cell]
Li 0.2500 0.2500 0.5000 [4 per cell]
Fe 0.0000 0.0000 0.5000 [2 per cell]
Fe 0.0000 0.5000 0.0000 [2 per cell]
Fe 0.2500 0.2500 0.0000 [4 per cell]
Sb 0.0000 0.5000 0.5000 [2 per cell]
O 0.0064 0.2711 0.2762 [8 per cell]
O 0.2392 0.5000 0.7459 [4 per cell]
O 0.2492 0.0000 0.7713 [4 per cell]

Most intense lines, 2θ from 5° to 70°, in order of rising 2θ:
17.6°, 5.044 Å, intensity 56
17.8°, 4.984 Å, intensity 98
33.5°, 2.679 Å, intensity 40
35.6°, 2.522 Å, intensity 35
40.6°, 2.224 Å, intensity 100
42.9°, 2.106 Å, intensity 42